Starting from DFT lattice parameters and positions (GGA-PBE), the powder XRD pattern of SmHoW was computed for λ = 1.5418 Å (Cu Kα).

Cell and atoms:
Unit cell a=3.343 b=3.343 c=13.897 alpha=90.00 beta=90.00 gamma=90.00
Sites, in units of the cell vectors:
Sm (0.250, 0.250, 0.098)
Sm (0.750, 0.750, 0.902)
Ho (0.250, 0.250, 0.691)
Ho (0.750, 0.750, 0.309)
W (0.250, 0.250, 0.453)
W (0.750, 0.750, 0.547)

Peak list (10 most intense, 2θ from 5° to 70°, most intense first)
2θ (°)	I/Imax	hkl
33.05	100	1 0 3
6.36	96	0 0 1
38.07	66	1 1 0
37.33	32	1 0 4
65.63	28	2 1 3
50.70	24	1 1 5
29.66	24	1 0 2
54.94	23	2 0 0
42.29	22	1 0 5
32.21	22	0 0 5